Structure and calculated powder diffractogram of Pr2Sm5Y2 (a structure optimized by DFT (PBE); copper Kα).

Atomic structure:
```
data_Pr2Sm5Y2
_chemical_formula_sum 'Pr4 Sm10 Y4'
_cell_length_a 7.229
_cell_length_b 9.595
_cell_length_c 10.487
_cell_angle_alpha 70.77
_cell_angle_beta 69.85
_cell_angle_gamma 67.96
_space_group_name_H-M_alt 'P 1'
_space_group_IT_number 1
loop_
_space_group_symop_operation_xyz
'x,y,z'
loop_
_atom_site_label
_atom_site_type_symbol
_atom_site_fract_x
_atom_site_fract_y
_atom_site_fract_z
_atom_site_occupancy
Pr1 Pr 0.000 0.000 0.000 1
Pr2 Pr 0.038 0.288 0.149 1
Pr3 Pr 0.387 0.646 0.582 1
Pr4 Pr 0.432 0.963 0.684 1
Sm1 Sm 0.113 0.308 0.471 1
Sm2 Sm 0.197 0.331 0.785 1
Sm3 Sm 0.221 0.626 0.933 1
Sm4 Sm 0.296 0.659 0.252 1
Sm5 Sm 0.339 0.972 0.356 1
Sm6 Sm 0.615 0.310 0.465 1
Sm7 Sm 0.689 0.334 0.787 1
Sm8 Sm 0.728 0.619 0.935 1
Sm9 Sm 0.799 0.657 0.253 1
Sm10 Sm 0.840 0.975 0.353 1
Y1 Y 0.505 0.995 0.003 1
Y2 Y 0.532 0.289 0.149 1
Y3 Y 0.889 0.648 0.580 1
Y4 Y 0.928 0.962 0.682 1
```

The 10 most intense peaks (10 to 90 degrees two-theta), low angle first:
hkl  Position (°2θ)  d/Å  I_rel
2 2 0  29.12  3.067  38
0 2 3  30.74  2.909  53
0 3 0  30.99  2.885  100
0 1 -3  32.02  2.795  44
2 -1 0  32.25  2.776  56
2 4 3  41.07  2.198  13
2 -2 3  47.55  1.912  21
4 2 2  50.50  1.807  14
4 4 5  60.29  1.535  16
4 3 -1  61.06  1.518  14

***

Structure and calculated powder diffractogram of Pr4SmY8 (a structure optimized by DFT (PBE); copper Kα).

Atomic structure:
```
data_Pr4SmY8
_chemical_formula_sum 'Pr12 Sm3 Y24'
_cell_length_a 11.1610
_cell_length_b 11.1610
_cell_length_c 13.6537
_cell_angle_alpha 90.00
_cell_angle_beta 90.00
_cell_angle_gamma 120.00
_space_group_name_H-M_alt 'R -3 m'
_space_group_IT_number 166
_space_group_name_Hall '-R 3 2"'
loop_
_atom_site_label
_atom_site_type_symbol
_atom_site_fract_x
_atom_site_fract_y
_atom_site_fract_z
_atom_site_occupancy
Pr1 Pr 0.0000 0.0000 0.0000 1
Pr2 Pr 0.0000 0.5000 0.0000 1
Sm1 Sm 0.0000 0.0000 0.5000 1
Y1 Y 0.0000 0.0000 0.2399 1
Y2 Y 0.0134 0.5067 0.7464 1
```

The 10 most intense peaks (10 to 90 degrees two-theta), low angle first:
hkl  Position (°2θ)  d/Å  I_rel
1 1 0  15.89  5.578  6
0 0 3  19.49  4.555  20
1 1 3  25.24  3.528  7
2 2 0  32.09  2.789  100
2 2 3  37.82  2.379  11
4 0 4  46.02  1.972  18
0 2 7  50.42  1.810  5
6 0 0  57.21  1.610  36
4 4 0  67.12  1.395  11
6 2 4  76.35  1.247  15

***

Structure and calculated powder diffractogram of Pr3SmY6 (a structure optimized by DFT (PBE); copper Kα).

Atomic structure:
```
data_Pr3SmY6
_chemical_formula_sum 'Pr9 Sm3 Y18'
_cell_length_a 10.0214
_cell_length_b 10.0214
_cell_length_c 11.7529
_cell_angle_alpha 90.00
_cell_angle_beta 90.00
_cell_angle_gamma 120.00
_space_group_name_H-M_alt 'R 3'
_space_group_IT_number 146
_space_group_name_Hall 'R 3'
loop_
_atom_site_label
_atom_site_type_symbol
_atom_site_fract_x
_atom_site_fract_y
_atom_site_fract_z
_atom_site_occupancy
Pr1 Pr 0.0000 0.0000 0.0000 1
Pr2 Pr 0.0000 0.0000 0.2506 1
Pr3 Pr 0.0000 0.0000 0.5016 1
Sm1 Sm 0.0000 0.0000 0.7507 1
Y1 Y 0.0016 0.6748 0.5012 1
Y2 Y 0.0080 0.3401 0.6680 1
```

The 10 most intense peaks (10 to 90 degrees two-theta), low angle first:
hkl  Position (°2θ)  d/Å  I_rel
1 1 0  17.70  5.011  28
1 1 3  28.93  3.086  43
3 0 0  30.91  2.893  100
1 0 4  32.16  2.783  25
0 2 4  36.95  2.433  15
2 1 4  41.25  2.189  23
4 -2 3  42.85  2.111  14
4 -3 4  48.92  1.862  17
4 1 3  53.76  1.705  14
3 3 0  54.98  1.670  19

***

Structure and calculated powder diffractogram of Pr15Sm4Y (a structure optimized by DFT (PBE); copper Kα).

Atomic structure:
```
data_Pr15Sm4Y
_chemical_formula_sum 'Pr15 Sm4 Y1'
_cell_length_a 5.231
_cell_length_b 5.231
_cell_length_c 26.040
_cell_angle_alpha 90.00
_cell_angle_beta 90.00
_cell_angle_gamma 90.00
_space_group_name_H-M_alt 'P 4/m m m'
_space_group_IT_number 123
_space_group_name_Hall '-P 4 2'
loop_
_atom_site_label
_atom_site_type_symbol
_atom_site_fract_x
_atom_site_fract_y
_atom_site_fract_z
_atom_site_occupancy
Pr1 Pr 0.000 0.000 0.000 1
Pr2 Pr 0.000 0.000 0.199 1
Pr3 Pr 0.000 0.000 0.400 1
Pr4 Pr 0.000 0.500 0.099 1
Pr5 Pr 0.000 0.500 0.300 1
Pr6 Pr 0.000 0.500 0.500 1
Sm1 Sm 0.500 0.500 0.199 1
Sm2 Sm 0.500 0.500 0.400 1
Y1 Y 0.500 0.500 0.000 1
```

The 10 most intense peaks (10 to 90 degrees two-theta), low angle first:
hkl  Position (°2θ)  d/Å  I_rel
1 1 5  29.62  3.016  100
2 0 0  34.29  2.615  34
0 0 10  34.44  2.604  17
2 2 0  49.27  1.849  12
2 0 10  49.39  1.845  24
3 1 5  58.55  1.577  29
1 1 15  58.75  1.572  14
2 2 10  61.50  1.508  12
3 3 5  79.96  1.200  6
3 1 15  80.14  1.198  12

***

Structure and calculated powder diffractogram of PrSm3Y6 (a structure optimized by DFT (PBE); copper Kα).

Atomic structure:
```
data_PrSm3Y6
_chemical_formula_sum 'Pr3 Sm9 Y18'
_cell_length_a 9.9817
_cell_length_b 9.9817
_cell_length_c 11.6875
_cell_angle_alpha 90.00
_cell_angle_beta 90.00
_cell_angle_gamma 120.00
_space_group_name_H-M_alt 'R 3 2'
_space_group_IT_number 155
_space_group_name_Hall 'R 3 2"'
loop_
_atom_site_label
_atom_site_type_symbol
_atom_site_fract_x
_atom_site_fract_y
_atom_site_fract_z
_atom_site_occupancy
Pr1 Pr 0.0000 0.0000 0.0000 1
Sm1 Sm 0.0000 0.0000 0.2522 1
Sm2 Sm 0.0000 0.0000 0.5000 1
Y1 Y 0.0000 0.3280 0.0000 1
Y2 Y 0.0000 0.6737 0.5000 1
```

The 10 most intense peaks (10 to 90 degrees two-theta), low angle first:
hkl  Position (°2θ)  d/Å  I_rel
1 1 0  17.77  4.991  30
1 1 3  29.08  3.071  41
3 0 0  31.04  2.881  100
1 0 4  32.34  2.768  25
0 2 4  37.14  2.421  15
2 1 4  41.46  2.178  24
2 2 3  43.05  2.101  14
1 3 4  49.16  1.853  17
3 3 0  55.21  1.664  19
6 0 0  64.70  1.441  15

***

Structure and calculated powder diffractogram of Pr3Sm3Y2 (a structure optimized by DFT (PBE); copper Kα).

Atomic structure:
```
data_Pr3Sm3Y2
_chemical_formula_sum 'Pr6 Sm6 Y4'
_cell_length_a 5.874
_cell_length_b 14.813
_cell_length_c 6.382
_cell_angle_alpha 90.00
_cell_angle_beta 90.00
_cell_angle_gamma 90.00
_space_group_name_H-M_alt 'P 1 21/m 1'
_space_group_IT_number 11
loop_
_space_group_symop_operation_xyz
'x,y,z'
'-x,-y,-z'
'-x,y+1/2,-z'
'x,-y+1/2,z'
loop_
_atom_site_label
_atom_site_type_symbol
_atom_site_fract_x
_atom_site_fract_y
_atom_site_fract_z
_atom_site_occupancy
Pr1 Pr 0.249 0.250 0.173 1
Pr2 Pr 0.250 0.000 0.168 1
Sm1 Sm 0.250 0.126 0.671 1
Sm2 Sm 0.250 0.750 0.161 1
Y1 Y 0.250 0.625 0.661 1
```

The 10 most intense peaks (10 to 90 degrees two-theta), low angle first:
hkl  Position (°2θ)  d/Å  I_rel
0 4 1  27.85  3.203  16
0 0 2  27.96  3.191  8
2 0 0  30.44  2.937  25
1 4 1  31.85  2.809  100
2 0 -2  41.75  2.163  16
0 4 3  49.41  1.845  13
3 4 1  54.99  1.670  21
2 8 0  58.97  1.566  8
2 4 3  59.15  1.562  15
1 8 2  59.86  1.545  11

***

Structure and calculated powder diffractogram of PrSm4Y8 (a structure optimized by DFT (PBE); copper Kα).

Atomic structure:
```
data_PrSm4Y8
_chemical_formula_sum 'Pr1 Sm4 Y8'
_cell_length_a 7.851
_cell_length_b 7.851
_cell_length_c 7.851
_cell_angle_alpha 90.00
_cell_angle_beta 90.00
_cell_angle_gamma 90.00
_space_group_name_H-M_alt 'P m -3 m'
_space_group_IT_number 221
_space_group_name_Hall '-P 4 2 3'
loop_
_atom_site_label
_atom_site_type_symbol
_atom_site_fract_x
_atom_site_fract_y
_atom_site_fract_z
_atom_site_occupancy
Pr1 Pr 0.000 0.000 0.000 1
Sm1 Sm 0.000 0.000 0.500 1
Sm2 Sm 0.500 0.500 0.500 1
Y1 Y 0.261 0.261 0.261 1
```

The 10 most intense peaks (10 to 90 degrees two-theta), low angle first:
hkl  Position (°2θ)  d/Å  I_rel
1 1 0  15.96  5.551  6
1 1 1  19.58  4.533  23
2 1 0  25.37  3.511  6
2 2 0  32.25  2.776  100
3 1 1  38.01  2.367  13
4 0 0  46.26  1.963  18
3 3 1  50.68  1.801  6
4 2 2  57.51  1.603  36
4 4 0  67.49  1.388  11
6 2 0  76.78  1.241  15

***

Structure and calculated powder diffractogram of Pr7Sm2Y (a structure optimized by DFT (PBE); copper Kα).

Atomic structure:
```
data_Pr7Sm2Y
_chemical_formula_sum 'Pr14 Sm4 Y2'
_cell_length_a 8.880
_cell_length_b 16.894
_cell_length_c 5.634
_cell_angle_alpha 90.00
_cell_angle_beta 90.00
_cell_angle_gamma 90.00
_space_group_name_H-M_alt 'C m m m'
_space_group_IT_number 65
_space_group_name_Hall '-C 2 2'
loop_
_atom_site_label
_atom_site_type_symbol
_atom_site_fract_x
_atom_site_fract_y
_atom_site_fract_z
_atom_site_occupancy
Pr1 Pr 0.000 0.000 0.000 1
Pr2 Pr 0.000 0.281 0.500 1
Pr3 Pr 0.180 0.388 0.000 1
Sm1 Sm 0.000 0.205 0.000 1
Y1 Y 0.000 0.500 0.500 1
```

The 10 most intense peaks (10 to 90 degrees two-theta), low angle first:
hkl  Position (°2θ)  d/Å  I_rel
0 0 1  15.73  5.634  60
0 4 1  26.37  3.379  28
2 4 0  29.18  3.060  56
0 0 2  31.77  2.817  53
1 5 1  32.50  2.755  100
3 1 1  34.64  2.589  54
2 4 2  43.68  2.072  40
1 5 3  57.09  1.613  29
3 9 1  60.69  1.526  29
5 5 1  61.21  1.514  24

***

Structure and calculated powder diffractogram of PrSmY2 (a structure optimized by DFT (PBE); copper Kα).

Atomic structure:
```
data_PrSmY2
_chemical_formula_sum 'Pr2 Sm2 Y4'
_cell_length_a 3.683
_cell_length_b 11.609
_cell_length_c 6.358
_cell_angle_alpha 90.00
_cell_angle_beta 90.00
_cell_angle_gamma 90.00
_space_group_name_H-M_alt 'I m m 2'
_space_group_IT_number 44
loop_
_space_group_symop_operation_xyz
'x,y,z'
'-x,-y,z'
'-x,y,z'
'x,-y,z'
'x+1/2,y+1/2,z+1/2'
'-x+1/2,-y+1/2,z+1/2'
'-x+1/2,y+1/2,z+1/2'
'x+1/2,-y+1/2,z+1/2'
loop_
_atom_site_label
_atom_site_type_symbol
_atom_site_fract_x
_atom_site_fract_y
_atom_site_fract_z
_atom_site_occupancy
Pr1 Pr 0.000 0.000 0.000 1
Sm1 Sm 0.000 0.500 0.997 1
Y1 Y 0.000 0.249 0.665 1
```

The 10 most intense peaks (10 to 90 degrees two-theta), low angle first:
hkl  Position (°2θ)  d/Å  I_rel
0 2 0  15.26  5.805  7
1 0 1  28.02  3.184  27
0 4 0  30.81  2.902  24
1 2 1  32.06  2.792  100
1 4 1  42.13  2.145  18
1 0 3  49.63  1.837  13
1 6 1  55.58  1.654  21
2 4 0  59.44  1.555  7
1 4 3  59.56  1.552  15
2 2 2  60.22  1.537  11

***

Structure and calculated powder diffractogram of PrSm4Y (a structure optimized by DFT (PBE); copper Kα).

Atomic structure:
```
data_PrSm4Y
_chemical_formula_sum 'Pr4 Sm16 Y4'
_cell_length_a 6.904
_cell_length_b 12.319
_cell_length_c 9.768
_cell_angle_alpha 90.00
_cell_angle_beta 90.00
_cell_angle_gamma 90.00
_space_group_name_H-M_alt 'C m c m'
_space_group_IT_number 63
_space_group_name_Hall '-C 2c 2'
loop_
_atom_site_label
_atom_site_type_symbol
_atom_site_fract_x
_atom_site_fract_y
_atom_site_fract_z
_atom_site_occupancy
Pr1 Pr 0.000 0.179 0.250 1
Sm1 Sm 0.000 0.346 0.572 1
Sm2 Sm 0.239 0.396 0.250 1
Y1 Y 0.000 0.000 0.000 1
```

The 10 most intense peaks (10 to 90 degrees two-theta), low angle first:
hkl  Position (°2θ)  d/Å  I_rel
1 3 0  25.23  3.529  15
0 4 0  28.99  3.080  14
0 4 1  30.43  2.937  20
2 2 1  31.08  2.878  100
1 3 2  31.25  2.862  81
2 0 2  31.74  2.819  23
1 5 3  48.13  1.891  16
3 3 2  49.05  1.857  22
2 6 0  51.81  1.765  15
2 2 5  56.12  1.639  19

***

Structure and calculated powder diffractogram of Pr5Sm5Y2 (a structure optimized by DFT (PBE); copper Kα).

Atomic structure:
```
data_Pr5Sm5Y2
_chemical_formula_sum 'Pr10 Sm10 Y4'
_cell_length_a 15.526
_cell_length_b 5.169
_cell_length_c 11.564
_cell_angle_alpha 90.00
_cell_angle_beta 116.54
_cell_angle_gamma 90.00
_space_group_name_H-M_alt 'C 1 2/m 1'
_space_group_IT_number 12
loop_
_space_group_symop_operation_xyz
'x,y,z'
'-x,-y,-z'
'-x,y,-z'
'x,-y,z'
'x+1/2,y+1/2,z'
'-x+1/2,-y+1/2,-z'
'-x+1/2,y+1/2,-z'
'x+1/2,-y+1/2,z'
loop_
_atom_site_label
_atom_site_type_symbol
_atom_site_fract_x
_atom_site_fract_y
_atom_site_fract_z
_atom_site_occupancy
Pr1 Pr 0.000 0.000 0.000 1
Pr2 Pr 0.165 0.000 0.499 1
Pr3 Pr 0.249 0.500 0.750 1
Sm1 Sm 0.000 0.500 0.500 1
Sm2 Sm 0.082 0.500 0.249 1
Sm3 Sm 0.167 0.500 0.000 1
Y1 Y 0.083 0.000 0.752 1
```

The 10 most intense peaks (10 to 90 degrees two-theta), low angle first:
hkl  Position (°2θ)  d/Å  I_rel
3 1 1  29.92  2.986  100
0 2 0  34.69  2.586  51
6 0 2  49.87  1.829  36
3 3 1  59.25  1.560  43
6 2 2  62.17  1.493  12
0 0 8  73.17  1.294  4
3 3 5  81.03  1.187  15
3 3 -7  81.07  1.186  3
6 0 6  83.58  1.157  11
0 4 4  83.65  1.156  5

***

Structure and calculated powder diffractogram of PrSm2Y2 (a structure optimized by DFT (PBE); copper Kα).

Atomic structure:
```
data_PrSm2Y2
_chemical_formula_sum 'Pr4 Sm8 Y8'
_cell_length_a 5.564
_cell_length_b 17.076
_cell_length_c 7.125
_cell_angle_alpha 90.00
_cell_angle_beta 90.00
_cell_angle_gamma 90.00
_space_group_name_H-M_alt 'C m c 21'
_space_group_IT_number 36
loop_
_space_group_symop_operation_xyz
'x,y,z'
'-x,-y,z+1/2'
'-x,y,z'
'x,-y,z+1/2'
'x+1/2,y+1/2,z'
'-x+1/2,-y+1/2,z+1/2'
'-x+1/2,y+1/2,z'
'x+1/2,-y+1/2,z+1/2'
loop_
_atom_site_label
_atom_site_type_symbol
_atom_site_fract_x
_atom_site_fract_y
_atom_site_fract_z
_atom_site_occupancy
Pr1 Pr 0.000 0.108 0.000 1
Sm1 Sm 0.000 0.110 0.502 1
Sm2 Sm 0.000 0.302 0.752 1
Y1 Y 0.000 0.301 0.252 1
Y2 Y 0.000 0.500 0.250 1
```

The 10 most intense peaks (10 to 90 degrees two-theta), low angle first:
hkl  Position (°2θ)  d/Å  I_rel
1 1 2  30.25  2.955  86
1 5 0  30.72  2.911  100
2 0 0  32.17  2.782  46
0 4 2  32.74  2.735  41
1 3 2  33.77  2.654  24
2 4 2  46.56  1.950  30
3 5 0  56.46  1.630  18
1 9 2  57.47  1.604  17
1 5 4  60.98  1.519  28
3 5 4  79.73  1.203  18

***

Structure and calculated powder diffractogram of Pr5SmZn4 (a structure optimized by DFT (PBE); copper Kα).

Atomic structure:
```
data_Pr5SmZn4
_chemical_formula_sum 'Pr5 Sm1 Zn4'
_cell_length_a 3.710
_cell_length_b 3.710
_cell_length_c 20.015
_cell_angle_alpha 90.00
_cell_angle_beta 90.00
_cell_angle_gamma 90.00
_space_group_name_H-M_alt 'P 4/m m m'
_space_group_IT_number 123
_space_group_name_Hall '-P 4 2'
loop_
_atom_site_label
_atom_site_type_symbol
_atom_site_fract_x
_atom_site_fract_y
_atom_site_fract_z
_atom_site_occupancy
Pr1 Pr 0.000 0.000 0.000 1
Pr2 Pr 0.000 0.000 0.185 1
Pr3 Pr 0.000 0.000 0.370 1
Sm1 Sm 0.500 0.500 0.500 1
Zn1 Zn 0.500 0.500 0.093 1
Zn2 Zn 0.500 0.500 0.279 1
```

The 10 most intense peaks (10 to 90 degrees two-theta), low angle first:
hkl  Position (°2θ)  d/Å  I_rel
1 0 0  23.99  3.710  9
1 0 4  29.98  2.980  14
1 0 5  32.92  2.721  100
1 1 0  34.18  2.623  64
1 0 6  36.21  2.481  18
2 0 0  49.12  1.855  23
1 0 11  56.32  1.634  7
2 1 5  60.40  1.533  34
1 1 11  62.08  1.495  11
3 1 0  82.16  1.173  10